Computed X-ray diffraction stick pattern
Compound: NdTm2Mg4In2
Radiation: Cu Kα (λ = 1.5418 Å)
Structure: a PBE-relaxed structure
Neutral-atom scattering factors, no anomalous dispersion.

The 10 most intense peaks (5° ≤ 2θ ≤ 70°), by angle:
| two_theta | d [Å] | intensity |
| --- | --- | --- |
| 13.4 | 6.632 | 39 |
| 13.6 | 6.518 | 43 |
| 30.2 | 2.957 | 87 |
| 30.6 | 2.926 | 52 |
| 33.1 | 2.708 | 47 |
| 33.5 | 2.677 | 100 |
| 38.4 | 2.347 | 37 |
| 47.8 | 1.904 | 20 |
| 53.6 | 1.711 | 24 |
| 64.4 | 1.447 | 22 |

Structural model:
```
NdTm2Mg4In2
1.0
4.694 0.000 0.000
0.000 6.632 3.742
0.000 -6.632 3.742
Nd Tm Mg In
1 2 4 2
Direct
0.000 0.000 0.000
0.000 0.430 0.868
0.000 0.868 0.430
0.000 0.444 0.444
0.500 0.192 0.434
0.500 0.434 0.192
0.500 0.678 0.678
0.500 0.100 0.760
0.500 0.760 0.100
```

Computed X-ray diffraction stick pattern
Compound: MgZr3In2PdPt2
Radiation: Cu Kα (λ = 1.5418 Å)
Structure: a PBE-relaxed structure
Neutral-atom scattering factors, no anomalous dispersion.

The 10 most intense peaks (5° ≤ 2θ ≤ 70°), by angle:
| two_theta | d [Å] | intensity |
| --- | --- | --- |
| 23.4 | 3.798 | 43 |
| 34.5 | 2.598 | 99 |
| 34.8 | 2.578 | 89 |
| 37.1 | 2.423 | 100 |
| 37.4 | 2.402 | 97 |
| 40.9 | 2.205 | 46 |
| 41.6 | 2.169 | 95 |
| 51.3 | 1.781 | 46 |
| 67.6 | 1.386 | 51 |
| 68.1 | 1.376 | 43 |

Structural model:
```
MgZr3In2PdPt2
1.0
3.561 0.000 0.000
0.000 6.614 3.738
0.000 -6.614 3.738
Mg Zr In Pd Pt
1 3 2 1 2
Direct
0.000 0.000 0.000
0.500 0.144 0.747
0.500 0.331 0.331
0.500 0.747 0.144
0.000 0.474 0.740
0.000 0.740 0.474
0.500 0.745 0.745
0.000 0.067 0.394
0.000 0.394 0.067
```